[1]
TlHgF4: calculated powder diffractogram (Cu Kα), based on the PBE geometry in Alexandria.
Peak positions follow from Bragg's law for the DFT cell and can differ from measured ones.

The 6 most intense peaks (2θ from 10° to 80°), sorted by position:
- 2θ 26.96, rel. 100, (0 2 2)
- 2θ 27.09, rel. 99, (2 0 2)
- 2θ 31.35, rel. 43, (2 2 0)
- 2θ 44.82, rel. 91, (2 2 4)
- 2θ 53.08, rel. 64, (2 4 2)
- 2θ 53.32, rel. 32, (4 2 2)

Structural model:
```
data_TlHgF4
_chemical_formula_sum 'Tl8 Hg8 F32'
_symmetry_space_group_name_H-M 'F d d d'
_symmetry_Int_Tables_number 70
_cell_length_a 8.044
_cell_length_b 8.099
_cell_length_c 11.459
_cell_angle_alpha 90.00
_cell_angle_beta 90.00
_cell_angle_gamma 90.00
loop_
_symmetry_equiv_pos_as_xyz
'x,y,z'
'-x,-y,-z'
'-x+1/4,-y+1/4,z'
'x+1/4,y+1/4,-z'
'x,-y+1/4,-z+1/4'
'-x,y+1/4,z+1/4'
'-x+1/4,y,-z+1/4'
'x+1/4,-y,z+1/4'
'x,y+1/2,z+1/2'
'-x,-y+1/2,-z+1/2'
'-x+1/4,-y+3/4,z+1/2'
'x+1/4,y+3/4,-z+1/2'
'x,-y+3/4,-z+3/4'
'-x,y+3/4,z+3/4'
'-x+1/4,y+1/2,-z+3/4'
'x+1/4,-y+1/2,z+3/4'
'x+1/2,y,z+1/2'
'-x+1/2,-y,-z+1/2'
'-x+3/4,-y+1/4,z+1/2'
'x+3/4,y+1/4,-z+1/2'
'x+1/2,-y+1/4,-z+3/4'
'-x+1/2,y+1/4,z+3/4'
'-x+3/4,y,-z+3/4'
'x+3/4,-y,z+3/4'
'x+1/2,y+1/2,z'
'-x+1/2,-y+1/2,-z'
'-x+3/4,-y+3/4,z'
'x+3/4,y+3/4,-z'
'x+1/2,-y+3/4,-z+1/4'
'-x+1/2,y+3/4,z+1/4'
'-x+3/4,y+1/2,-z+1/4'
'x+3/4,-y+1/2,z+1/4'
loop_
_atom_site_label
_atom_site_fract_x
_atom_site_fract_y
_atom_site_fract_z
Tl1 0.125 0.125 0.125
Hg1 0.125 0.125 0.625
F1 0.124 0.374 0.000
```


[2]
Tl3Hg2F7: calculated powder diffractogram (Cu Kα), based on the PBE geometry in Alexandria.
Peak positions follow from Bragg's law for the DFT cell and can differ from measured ones.

The 6 most intense peaks (2θ from 10° to 80°), sorted by position:
- 2θ 27.10, rel. 63, (1 1 0)
- 2θ 27.48, rel. 100, (1 0 5)
- 2θ 38.70, rel. 34, (2 0 0)
- 2θ 48.12, rel. 45, (2 1 5)
- 2θ 48.82, rel. 17, (1 1 10)
- 2θ 56.73, rel. 15, (2 0 10)

Structural model:
```
data_Tl3Hg2F7
_chemical_formula_sum 'Tl6 Hg4 F14'
_symmetry_space_group_name_H-M 'I 4/m m m'
_symmetry_Int_Tables_number 139
_symmetry_space_group_name_Hall '-I 4 2'
_cell_length_a 4.653
_cell_length_b 4.653
_cell_length_c 22.646
_cell_angle_alpha 90.00
_cell_angle_beta 90.00
_cell_angle_gamma 90.00
loop_
_atom_site_label
_atom_site_fract_x
_atom_site_fract_y
_atom_site_fract_z
Tl1 0.000 0.000 0.000
Tl2 0.000 0.000 0.184
Hg1 0.000 0.000 0.398
F1 0.000 0.000 0.297
F2 0.000 0.000 0.500
F3 0.000 0.500 0.097
```


[3]
Tl2Hg2F: calculated powder diffractogram (Cu Kα), based on the PBE geometry in Alexandria.
Peak positions follow from Bragg's law for the DFT cell and can differ from measured ones.

The 6 most intense peaks (2θ from 10° to 80°), sorted by position:
- 2θ 24.48, rel. 21, (2 0 0)
- 2θ 32.11, rel. 100, (2 1 1)
- 2θ 33.08, rel. 23, (0 0 2)
- 2θ 39.18, rel. 14, (3 1 0)
- 2θ 54.74, rel. 22, (4 1 1)
- 2θ 58.48, rel. 19, (2 1 3)

Structural model:
```
data_Tl2Hg2F
_chemical_formula_sum 'Tl4 Hg4 F2'
_symmetry_space_group_name_H-M 'P 4/m b m'
_symmetry_Int_Tables_number 127
_symmetry_space_group_name_Hall '-P 4 2ab'
_cell_length_a 7.271
_cell_length_b 7.271
_cell_length_c 5.416
_cell_angle_alpha 90.00
_cell_angle_beta 90.00
_cell_angle_gamma 90.00
loop_
_atom_site_label
_atom_site_fract_x
_atom_site_fract_y
_atom_site_fract_z
Tl1 0.180 0.320 0.000
Hg1 0.155 0.655 0.500
F1 0.000 0.000 0.000
```


- What is the formula in the first record?
  TlHgF4